Diffraction record for K4AgGe3Cl12. The powder diffraction line list is computed, not measured: it uses a GGA-PBE-relaxed structure and CuKα.
Neutral-atom scattering factors, no anomalous dispersion.

Top 10 peaks for 2θ from 15° to 90°, low angle first:
(hkl)	2θ/deg	I (rel.)
2 0 0	17.0	70
2 2 0	24.2	74
2 2 2	29.7	16
4 0 0	34.5	100
4 2 0	38.7	34
4 2 2	42.5	33
4 4 0	49.5	64
6 0 0	52.8	17
4 4 4	61.7	21
8 4 0	83.0	26

```
data_K4AgGe3Cl12
_cell_length_a 10.410
_cell_length_b 10.410
_cell_length_c 10.410
_cell_angle_alpha 90.00
_cell_angle_beta 90.00
_cell_angle_gamma 90.00
_space_group_name_H-M_alt 'I m -3 m'
_space_group_IT_number 229
_space_group_name_Hall '-I 4 2 3'
loop_
_atom_site_label
_atom_site_type_symbol
_atom_site_fract_x
_atom_site_fract_y
_atom_site_fract_z
K1 K 0.250 0.250 0.250
Ag1 Ag 0.000 0.000 0.000
Ge1 Ge 0.000 0.000 0.500
Cl1 Cl 0.000 0.000 0.256
Cl2 Cl 0.000 0.250 0.500
```

---

Diffraction record for Tb5NdEr12. The powder diffraction line list is computed, not measured: it uses a GGA-PBE-relaxed structure and CuKα.
Neutral-atom scattering factors, no anomalous dispersion.

Top 10 peaks for 2θ from 15° to 90°, low angle first:
(hkl)	2θ/deg	I (rel.)
0 0 2	30.3	25
0 6 0	31.2	30
3 3 1	32.5	100
1 3 2	35.1	11
0 6 2	44.0	18
6 0 0	49.1	11
3 3 3	55.2	13
3 9 1	56.3	21
6 6 0	59.3	13
6 6 2	68.0	9

```
data_Tb5NdEr12
_cell_length_a 11.132
_cell_length_b 17.208
_cell_length_c 5.908
_cell_angle_alpha 90.00
_cell_angle_beta 90.01
_cell_angle_gamma 90.00
_space_group_name_H-M_alt 'C 1 2/m 1'
_space_group_IT_number 12
loop_
_space_group_symop_operation_xyz
'x,y,z'
'-x,-y,-z'
'-x,y,-z'
'x,-y,z'
'x+1/2,y+1/2,z'
'-x+1/2,-y+1/2,-z'
'-x+1/2,y+1/2,-z'
'x+1/2,-y+1/2,z'
loop_
_atom_site_label
_atom_site_type_symbol
_atom_site_fract_x
_atom_site_fract_y
_atom_site_fract_z
Tb1 Tb 0.000 0.000 0.000
Tb2 Tb 0.000 0.169 0.500
Tb3 Tb 0.000 0.332 0.000
Nd1 Nd 0.000 0.500 0.500
Er1 Er 0.172 0.000 0.455
Er2 Er 0.175 0.167 0.051
Er3 Er 0.176 0.500 0.046
Er4 Er 0.177 0.333 0.449
```

---

Diffraction record for Ce4Sm9In11. The powder diffraction line list is computed, not measured: it uses a GGA-PBE-relaxed structure and CuKα.
Neutral-atom scattering factors, no anomalous dispersion.

Top 10 peaks for 2θ from 15° to 90°, low angle first:
(hkl)	2θ/deg	I (rel.)
4 0 1	32.0	96
4 6 0	32.4	100
5 5 0	32.4	16
1 5 1	33.8	19
0 6 1	36.5	63
8 0 0	38.9	25
0 0 2	52.0	16
8 6 1	54.4	23
9 5 1	56.4	18
4 6 2	62.6	33

```
data_Ce4Sm9In11
_cell_length_a 18.503
_cell_length_b 20.712
_cell_length_c 3.514
_cell_angle_alpha 90.00
_cell_angle_beta 90.00
_cell_angle_gamma 90.00
_space_group_name_H-M_alt 'C m m m'
_space_group_IT_number 65
_space_group_name_Hall '-C 2 2'
loop_
_atom_site_label
_atom_site_type_symbol
_atom_site_fract_x
_atom_site_fract_y
_atom_site_fract_z
Ce1 Ce 0.150 0.077 0.000
Sm1 Sm 0.000 0.000 0.000
Sm2 Sm 0.115 0.410 0.000
Sm3 Sm 0.121 0.236 0.000
In1 In 0.000 0.142 0.500
In2 In 0.000 0.321 0.500
In3 In 0.000 0.500 0.500
In4 In 0.227 0.500 0.500
In5 In 0.241 0.327 0.500
```

---

Diffraction record for Rb2CeGeO6. The powder diffraction line list is computed, not measured: it uses a GGA-PBE-relaxed structure and CuKα.
Neutral-atom scattering factors, no anomalous dispersion.

Top 10 peaks for 2θ from 15° to 90°, low angle first:
(hkl)	2θ/deg	I (rel.)
1 0 0	15.7	85
1 0 1	22.1	52
1 1 0	27.4	100
0 1 2	35.1	36
0 2 1	35.5	36
1 1 2	42.0	31
2 0 2	45.1	33
3 0 0	48.5	19
1 2 2	53.6	30
2 2 0	56.6	18

```
data_Rb2CeGeO6
_cell_length_a 6.5083
_cell_length_b 6.5083
_cell_length_c 5.7378
_cell_angle_alpha 90.00
_cell_angle_beta 90.00
_cell_angle_gamma 120.00
_space_group_name_H-M_alt 'P -3 m 1'
_space_group_IT_number 164
_space_group_name_Hall '-P 3 2"'
loop_
_atom_site_label
_atom_site_type_symbol
_atom_site_fract_x
_atom_site_fract_y
_atom_site_fract_z
Rb1 Rb 0.3333 0.6667 0.1125
Ce1 Ce 0.0000 0.0000 0.5000
Ge1 Ge 0.0000 0.0000 0.0000
O1 O 0.1335 0.2670 0.7904
```